Structure and computed powder diffraction line list of Li4MnFe3P4O16 (a GGA+U-relaxed structure; Cu Kα, 1.54184 Å).
No peak broadening, texture or thermal motion is included.

The 8 most intense peaks (15° ≤ 2θ ≤ 90°), in order of falling intensity:
two_theta, Rel. int., h k l
35.11, 100.0, 1 1 -3
25.20, 82.3, 1 1 -1
29.26, 75.5, 0 2 0
20.49, 60.1, 1 0 1
51.73, 35.8, 2 2 2
16.94, 31.1, 0 0 2
35.99, 29.6, 1 2 1
31.80, 28.9, 1 0 3

Crystal structure
abc: 4.762 6.105 10.467
angles: 90.00 90.12 90.00
Fractional positions:
Li: 0.000 0.249 0.000
Li: 0.000 0.751 0.000
Li: 0.500 0.249 0.499
Li: 0.500 0.751 0.499
Mn: 0.022 0.500 0.718
Fe: 0.474 0.500 0.218
Fe: 0.525 0.000 0.781
Fe: 0.975 0.000 0.281
P: 0.084 0.000 0.593
P: 0.418 0.000 0.094
P: 0.580 0.500 0.907
P: 0.918 0.500 0.404
O: 0.206 0.000 0.455
O: 0.220 0.202 0.663
O: 0.220 0.798 0.663
O: 0.240 0.500 0.403
O: 0.258 0.500 0.905
O: 0.286 0.203 0.165
O: 0.286 0.797 0.165
O: 0.293 0.000 0.957
O: 0.708 0.500 0.044
O: 0.711 0.297 0.836
O: 0.711 0.703 0.836
O: 0.741 0.000 0.096
O: 0.762 0.000 0.596
O: 0.785 0.297 0.333
O: 0.785 0.703 0.333
O: 0.791 0.500 0.541